Structure and calculated powder XRD pattern of Sb4WO12 (the GGA+U geometry in Alexandria; a wavelength of 1.5418 Å).
No peak broadening, texture or thermal motion is included.

Cell: 7.7936 7.7936 7.3786 Å, 90.00 90.00 90.00°
Space group I4/mmm (No. 139)
One atom of each set of equivalent atoms:
1 Sb 0.2500 0.2500 0.2500 [8 per cell]
2 W 0.0000 0.0000 0.0000 [2 per cell]
3 O 0.0000 0.2277 0.1750 [16 per cell]
4 O 0.1904 0.1904 0.5000 [8 per cell]

The 8 most intense peaks (10° ≤ 2θ ≤ 90°), sorted by position:
2θ 16.08, intensity 35, (1 1 0); 2θ 16.54, intensity 54, (1 0 1); 2θ 22.82, intensity 45, (2 0 0); 2θ 32.49, intensity 47, (2 2 0); 2θ 33.45, intensity 100, (2 0 2); 2θ 46.62, intensity 32, (4 0 0); 2θ 58.58, intensity 46, (4 2 2); 2θ 60.39, intensity 25, (2 2 4)